The following is a simulated powder XRD pattern of Ba2ScZnSe5. It was derived from the GGA-PBE geometry in Alexandria, using CuKα.
Peak positions follow from Bragg's law for the DFT cell and can differ from measured ones.

Cell and atoms:
Cell lengths 9.6822, 9.6822, 13.0639 Å; angles 90.00, 90.00, 154.97 degrees
Positions (direct):
Ba 0.1204 0.8796 0.5000
Ba 0.1277 0.8723 0.1245
Ba 0.8723 0.1277 0.6245
Ba 0.8796 0.1204 0.0000
Sc 0.2061 0.7939 0.8237
Sc 0.7939 0.2061 0.3237
Zn 0.4355 0.5645 0.2452
Zn 0.5645 0.4355 0.7452
Se 0.0588 0.9412 0.8483
Se 0.2959 0.7041 0.4602
Se 0.3054 0.6946 0.1822
Se 0.3458 0.6542 0.8153
Se 0.4991 0.5009 0.0845
Se 0.5009 0.4991 0.5845
Se 0.6542 0.3458 0.3153
Se 0.6946 0.3054 0.6822
Se 0.7041 0.2959 0.9602
Se 0.9412 0.0588 0.3483

Top 12 peaks for 10° ≤ 2θ ≤ 80°, in order of rising 2θ:
- 22.5°, 3.955 Å, rel. 16
- 27.9°, 3.202 Å, rel. 18
- 29.0°, 3.081 Å, rel. 44
- 29.2°, 3.063 Å, rel. 42
- 29.9°, 2.984 Å, rel. 100
- 31.9°, 2.809 Å, rel. 34
- 34.8°, 2.580 Å, rel. 27
- 35.7°, 2.518 Å, rel. 19
- 40.6°, 2.222 Å, rel. 17
- 43.1°, 2.098 Å, rel. 30
- 48.8°, 1.864 Å, rel. 20
- 52.9°, 1.731 Å, rel. 15

---

The following is a simulated powder XRD pattern of BaSr4Sc. It was derived from the GGA-PBE geometry in Alexandria, using CuKα.
Peak positions follow from Bragg's law for the DFT cell and can differ from measured ones.

Cell and atoms:
Cell lengths 7.5975, 7.5975, 7.5975 Å; angles 60.00, 60.00, 60.00 degrees
Positions (direct):
Ba 0.0000 0.0000 0.0000
Sr 0.3760 0.3760 0.3760
Sr 0.3760 0.3760 0.8719
Sr 0.3760 0.8719 0.3760
Sr 0.8719 0.3760 0.3760
Sc 0.7500 0.7500 0.7500

Top 12 peaks for 10° ≤ 2θ ≤ 80°, in order of rising 2θ:
- 14.3°, 6.203 Å, rel. 9
- 23.4°, 3.799 Å, rel. 25
- 27.5°, 3.240 Å, rel. 100
- 28.8°, 3.102 Å, rel. 42
- 41.2°, 2.193 Å, rel. 11
- 43.8°, 2.068 Å, rel. 37
- 47.9°, 1.899 Å, rel. 32
- 56.1°, 1.639 Å, rel. 13
- 56.8°, 1.620 Å, rel. 18
- 66.9°, 1.399 Å, rel. 23
- 76.8°, 1.241 Å, rel. 12
- 77.4°, 1.232 Å, rel. 7

---

The following is a simulated powder XRD pattern of Ba2ScTa. It was derived from the GGA-PBE geometry in Alexandria, using CuKα.
Peak positions follow from Bragg's law for the DFT cell and can differ from measured ones.

Cell and atoms:
Cell lengths 3.3941, 3.3941, 11.5618 Å; angles 90.00, 90.00, 90.00 degrees
Positions (direct):
Ba 0.0000 0.0000 0.0000
Ba 0.5000 0.5000 0.3310
Sc 0.0000 0.0000 0.6056
Ta 0.5000 0.5000 0.7624

Top 12 peaks for 10° ≤ 2θ ≤ 80°, in order of rising 2θ:
- 15.3°, 5.781 Å, rel. 13
- 23.1°, 3.854 Å, rel. 20
- 27.4°, 3.257 Å, rel. 16
- 30.5°, 2.927 Å, rel. 100
- 30.9°, 2.890 Å, rel. 10
- 35.2°, 2.547 Å, rel. 17
- 37.5°, 2.400 Å, rel. 37
- 44.5°, 2.037 Å, rel. 14
- 47.6°, 1.911 Å, rel. 18
- 49.4°, 1.846 Å, rel. 11
- 54.0°, 1.697 Å, rel. 13
- 63.4°, 1.468 Å, rel. 25

---

The following is a simulated powder XRD pattern of BaScZn2. It was derived from the GGA-PBE geometry in Alexandria, using CuKα.
Peak positions follow from Bragg's law for the DFT cell and can differ from measured ones.

Cell and atoms:
Cell lengths 4.7308, 4.7308, 6.6464 Å; angles 110.78, 110.78, 59.96 degrees
Positions (direct):
Ba 0.0000 0.0000 0.0000
Sc 0.5000 0.5000 0.5000
Zn 0.1891 0.1891 0.5674
Zn 0.8109 0.8109 0.4326

Top 12 peaks for 10° ≤ 2θ ≤ 80°, in order of rising 2θ:
- 22.2°, 3.996 Å, rel. 76
- 23.8°, 3.735 Å, rel. 18
- 29.3°, 3.043 Å, rel. 66
- 29.5°, 3.032 Å, rel. 48
- 32.9°, 2.720 Å, rel. 72
- 38.1°, 2.365 Å, rel. 100
- 48.8°, 1.867 Å, rel. 38
- 48.9°, 1.864 Å, rel. 46
- 51.2°, 1.785 Å, rel. 20
- 55.3°, 1.662 Å, rel. 26
- 65.5°, 1.425 Å, rel. 19
- 68.8°, 1.365 Å, rel. 16

---

The following is a simulated powder XRD pattern of Ba6Se5. It was derived from the GGA-PBE geometry in Alexandria, using CuKα.
Peak positions follow from Bragg's law for the DFT cell and can differ from measured ones.

Cell and atoms:
Cell lengths 8.1626, 8.1626, 8.1706 Å; angles 99.61, 99.61, 119.98 degrees
Positions (direct):
Ba 0.0771 0.4160 0.7480
Ba 0.2457 0.2457 0.2541
Ba 0.4160 0.0771 0.7480
Ba 0.5840 0.9229 0.2520
Ba 0.7543 0.7543 0.7459
Ba 0.9229 0.5840 0.2520
Se 0.0000 0.0000 0.5000
Se 0.1665 0.8335 0.0000
Se 0.3333 0.6667 0.5000
Se 0.6667 0.3333 0.5000
Se 0.8335 0.1665 0.0000

Top 12 peaks for 10° ≤ 2θ ≤ 80°, in order of rising 2θ:
- 13.1°, 6.760 Å, rel. 2
- 23.1°, 3.849 Å, rel. 20
- 26.7°, 3.334 Å, rel. 100
- 38.2°, 2.357 Å, rel. 77
- 45.1°, 2.010 Å, rel. 9
- 45.1°, 2.009 Å, rel. 2
- 47.2°, 1.925 Å, rel. 28
- 55.1°, 1.667 Å, rel. 13
- 60.5°, 1.530 Å, rel. 4
- 62.3°, 1.491 Å, rel. 36
- 69.0°, 1.361 Å, rel. 27
- 73.9°, 1.283 Å, rel. 3

---

The following is a simulated powder XRD pattern of BaSe. It was derived from the GGA-PBE geometry in Alexandria, using CuKα.
Peak positions follow from Bragg's law for the DFT cell and can differ from measured ones.

Cell and atoms:
Cell lengths 8.5263, 8.5263, 8.5263 Å; angles 98.63, 98.63, 134.42 degrees
Positions (direct):
Ba 0.1457 0.6457 0.7915
Ba 0.3543 0.1457 0.5000
Ba 0.6457 0.8543 0.5000
Ba 0.8543 0.3543 0.2085
Se 0.1472 0.3528 0.5000
Se 0.3528 0.8528 0.2056
Se 0.6472 0.1472 0.7944
Se 0.8528 0.6472 0.5000

Top 12 peaks for 10° ≤ 2θ ≤ 80°, in order of rising 2θ:
- 11.3°, 7.861 Å, rel. 100
- 15.9°, 5.558 Å, rel. 24
- 25.3°, 3.515 Å, rel. 72
- 27.0°, 3.303 Å, rel. 48
- 29.3°, 3.045 Å, rel. 21
- 32.2°, 2.779 Å, rel. 45
- 34.2°, 2.620 Å, rel. 38
- 37.4°, 2.407 Å, rel. 51
- 42.5°, 2.126 Å, rel. 41
- 44.1°, 2.053 Å, rel. 37
- 65.8°, 1.420 Å, rel. 22
- 67.0°, 1.397 Å, rel. 22

---

The following is a simulated powder XRD pattern of BaSe2. It was derived from the GGA-PBE geometry in Alexandria, using CuKα.
Peak positions follow from Bragg's law for the DFT cell and can differ from measured ones.

Cell and atoms:
Cell lengths 5.4701, 5.4701, 9.4738 Å; angles 114.01, 114.01, 54.61 degrees
Positions (direct):
Ba 0.1260 0.8740 0.7500
Ba 0.8740 0.1260 0.2500
Se 0.2206 0.4701 0.9740
Se 0.4701 0.2206 0.4740
Se 0.5299 0.7794 0.5260
Se 0.7794 0.5299 0.0260

Top 12 peaks for 10° ≤ 2θ ≤ 80°, in order of rising 2θ:
- 21.7°, 4.096 Å, rel. 36
- 25.2°, 3.540 Å, rel. 100
- 25.9°, 3.444 Å, rel. 81
- 32.9°, 2.725 Å, rel. 20
- 33.8°, 2.652 Å, rel. 26
- 35.9°, 2.498 Å, rel. 70
- 37.1°, 2.426 Å, rel. 36
- 37.5°, 2.398 Å, rel. 25
- 40.5°, 2.229 Å, rel. 60
- 43.0°, 2.106 Å, rel. 20
- 48.7°, 1.871 Å, rel. 18
- 61.4°, 1.509 Å, rel. 16

---

The following is a simulated powder XRD pattern of Ba2Se. It was derived from the GGA-PBE geometry in Alexandria, using CuKα.
Peak positions follow from Bragg's law for the DFT cell and can differ from measured ones.

Cell and atoms:
Cell lengths 8.1848, 8.1848, 8.1848 Å; angles 150.87, 150.87, 41.66 degrees
Positions (direct):
Ba 0.1228 0.1228 0.0000
Ba 0.8772 0.8772 0.0000
Se 0.5000 0.5000 0.0000

Top 12 peaks for 10° ≤ 2θ ≤ 80°, in order of rising 2θ:
- 11.6°, 7.650 Å, rel. 22
- 22.4°, 3.975 Å, rel. 30
- 23.3°, 3.825 Å, rel. 19
- 27.9°, 3.203 Å, rel. 100
- 30.7°, 2.910 Å, rel. 68
- 36.6°, 2.456 Å, rel. 56
- 38.9°, 2.316 Å, rel. 20
- 44.0°, 2.058 Å, rel. 25
- 52.9°, 1.731 Å, rel. 33
- 57.7°, 1.598 Å, rel. 22
- 58.5°, 1.577 Å, rel. 28
- 66.8°, 1.401 Å, rel. 14